Computed powder diffractogram of PuFe3Si2 for copper Kα, from a PBE-relaxed structure.
No peak broadening, texture or thermal motion is included.

Largest 8 diffraction maxima, in order of falling intensity, 15° ≤ 2θ ≤ 90°:
2θ/deg, d [Å], Rel. int., (hkl)
31.3, 2.855, 100, 1 0 1
42.9, 2.108, 75, 1 1 1
40.8, 2.211, 51, 2 0 0
20.1, 4.422, 42, 1 0 0
60.7, 1.526, 31, 2 1 1
35.2, 2.553, 28, 1 1 0
65.4, 1.428, 25, 2 0 2
68.4, 1.371, 19, 3 0 1

Crystal structure
```
data_PuFe3Si2
_chemical_formula_sum 'Pu1 Fe3 Si2'
_space_group_name_H-M_alt 'P 6/m m m'
_space_group_IT_number 191
_space_group_name_Hall '-P 6 2'
_cell_length_a 5.1058
_cell_length_b 5.1058
_cell_length_c 3.7395
_cell_angle_alpha 90.00
_cell_angle_beta 90.00
_cell_angle_gamma 120.00
loop_
_atom_site_label
_atom_site_type_symbol
_atom_site_fract_x
_atom_site_fract_y
_atom_site_fract_z
Pu1 Pu 0.0000 0.0000 0.0000
Fe1 Fe 0.0000 0.5000 0.5000
Si1 Si 0.3333 0.6667 0.0000
```